This entry pairs a crystal structure of CaTm3Cu4 with its simulated powder diffraction line list. Radiation: CuKα. Structure: a structure optimized by DFT (GGA-PBE).
Neutral-atom scattering factors, no anomalous dispersion.

The 10 most intense peaks (10° ≤ 2θ ≤ 80°), by angle:
h k l  2theta  d/Å  I/Imax
0 0 1  12.9  6.876  6.7
1 0 0  18.2  4.873  4.4
1 0 1  22.4  3.976  5.5
0 0 2  25.9  3.443  13.5
2 0 0  36.9  2.435  100.0
2 0 2  45.6  1.988  4.2
2 2 0  53.2  1.723  11.5
0 0 4  53.3  1.719  5.5
3 1 2  66.5  1.406  33.8
2 2 4  78.6  1.217  6.8

Structural model:
Cell lengths 4.873, 4.873, 6.876 Å; angles 90.00, 90.00, 90.00 degrees
Atoms (fractional coordinates):
Ca: 0.000 0.000 0.000
Tm: 0.000 0.000 0.500
Tm: 0.500 0.500 0.000
Tm: 0.500 0.500 0.500
Cu: 0.000 0.500 0.264
Cu: 0.000 0.500 0.736
Cu: 0.500 0.000 0.264
Cu: 0.500 0.000 0.736


This entry pairs a crystal structure of CaVCu with its simulated powder diffraction line list. Radiation: CuKα. Structure: a structure optimized by DFT (GGA-PBE).
Neutral-atom scattering factors, no anomalous dispersion.

The 10 most intense peaks (10° ≤ 2θ ≤ 80°), by angle:
h k l  2theta  d/Å  I/Imax
0 0 2  16.4  5.421  22.3
1 0 2  32.9  2.722  27.7
1 0 -3  36.4  2.468  100.0
1 0 3  38.2  2.356  59.0
1 -1 0  39.0  2.312  49.3
1 1 0  39.8  2.262  36.8
0 0 5  41.6  2.169  13.0
0 2 0  56.9  1.618  13.9
1 -2 3  68.9  1.363  12.4
-2 1 3  69.0  1.362  12.5

Structural model:
Cell lengths 3.236, 3.240, 10.866 Å; angles 92.68, 92.57, 91.11 degrees
Atoms (fractional coordinates):
Ca: 0.000 0.000 0.000
Ca: 0.056 0.056 0.364
V: 0.106 0.106 0.676
V: 0.505 0.504 0.791
Cu: 0.527 0.527 0.181
Cu: 0.590 0.589 0.551


This entry pairs a crystal structure of Ca2Zn9Cu6 with its simulated powder diffraction line list. Radiation: CuKα. Structure: a structure optimized by DFT (GGA-PBE).
Neutral-atom scattering factors, no anomalous dispersion.

The 10 most intense peaks (10° ≤ 2θ ≤ 80°), by angle:
h k l  2theta  d/Å  I/Imax
1 0 0  19.6  4.526  73.7
1 1 0  34.3  2.613  13.2
2 0 0  39.8  2.263  28.6
1 1 3  40.8  2.212  100.0
0 0 6  43.6  2.076  34.6
2 0 3  45.7  1.987  83.2
1 0 6  48.2  1.887  13.6
2 0 6  60.5  1.530  15.2
3 0 3  65.9  1.418  21.8
2 2 0  72.3  1.307  21.1

Structural model:
Cell lengths 5.226, 5.226, 12.457 Å; angles 90.00, 90.00, 120.00 degrees
Atoms (fractional coordinates):
Ca: 0.000 0.000 0.171
Ca: 0.000 0.000 0.829
Zn: 0.000 0.500 0.000
Zn: 0.000 0.500 0.338
Zn: 0.000 0.500 0.662
Zn: 0.500 0.000 0.000
Zn: 0.500 0.000 0.338
Zn: 0.500 0.000 0.662
Zn: 0.500 0.500 0.000
Zn: 0.500 0.500 0.338
Zn: 0.500 0.500 0.662
Cu: 0.333 0.667 0.170
Cu: 0.333 0.667 0.500
Cu: 0.333 0.667 0.830
Cu: 0.667 0.333 0.170
Cu: 0.667 0.333 0.500
Cu: 0.667 0.333 0.830